Entry 1:
Calculated PXRD pattern of Rb2BaTaTe4 for Cu Kα (λ = 1.5418 Å), from a DFT-relaxed cell (PBE, Alexandria).
No peak broadening, texture or thermal motion is included.

Cell: 8.9913 8.9913 9.6242 Å, 90.00 90.00 90.00°
Atoms (fractional coordinates):
Rb  0.0000  0.0000  0.0000
Rb  0.0000  0.5000  0.2500
Rb  0.5000  0.0000  0.7500
Rb  0.5000  0.5000  0.5000
Ba  0.0000  0.5000  0.7500
Ba  0.5000  0.0000  0.2500
Ta  0.0000  0.0000  0.5000
Ta  0.5000  0.5000  0.0000
Te  0.1730  0.8138  0.6443
Te  0.1862  0.1730  0.3557
Te  0.3138  0.3270  0.8557
Te  0.3270  0.6862  0.1443
Te  0.6730  0.3138  0.1443
Te  0.6862  0.6730  0.8557
Te  0.8138  0.8270  0.3557
Te  0.8270  0.1862  0.6443

The 10 most intense peaks (10° ≤ 2θ ≤ 80°), in order of rising 2θ:
2θ/deg	I_rel
13.48	492
23.18	1000
23.98	377
28.07	389
36.71	485
37.25	143
41.22	168
42.50	137
42.63	382
45.09	139

---

Entry 2:
Calculated PXRD pattern of RbBa3Te4 for Cu Kα (λ = 1.5418 Å), from a DFT-relaxed cell (PBE, Alexandria).
No peak broadening, texture or thermal motion is included.

Cell: 7.1333 7.1333 7.1333 Å, 90.00 90.00 90.00°
Atoms (fractional coordinates):
Rb  0.0000  0.0000  0.0000
Ba  0.0000  0.5000  0.5000
Ba  0.5000  0.0000  0.5000
Ba  0.5000  0.5000  0.0000
Te  0.0000  0.0000  0.5000
Te  0.0000  0.5000  0.0000
Te  0.5000  0.0000  0.0000
Te  0.5000  0.5000  0.5000

The 10 most intense peaks (10° ≤ 2θ ≤ 80°), in order of rising 2θ:
2θ/deg	I_rel
12.41	10
17.58	9
24.97	1000
27.97	6
35.60	788
43.97	289
51.23	138
57.80	383
63.94	282
75.37	88

---

Entry 3:
Calculated PXRD pattern of RbBaTe for Cu Kα (λ = 1.5418 Å), from a DFT-relaxed cell (PBE, Alexandria).
No peak broadening, texture or thermal motion is included.

Cell: 8.8070 5.0931 17.2243 Å, 90.00 100.97 90.00°
Atoms (fractional coordinates):
Rb  0.1342  0.0000  0.3578
Rb  0.3658  0.5000  0.6422
Rb  0.6342  0.5000  0.3578
Rb  0.8658  0.0000  0.6422
Ba  0.2145  0.5000  0.1246
Ba  0.2855  0.0000  0.8754
Ba  0.7145  0.0000  0.1246
Ba  0.7855  0.5000  0.8754
Te  0.0809  0.5000  0.7730
Te  0.4191  0.0000  0.2270
Te  0.5809  0.0000  0.7730
Te  0.9191  0.5000  0.2270

The 10 most intense peaks (10° ≤ 2θ ≤ 80°), in order of rising 2θ:
2θ/deg	I_rel
10.46	851
23.43	358
23.73	1000
26.54	410
26.93	569
35.28	864
36.18	517
36.73	325
42.76	226
51.80	202

---

Entry 4:
Calculated PXRD pattern of Rb2BaTe for Cu Kα (λ = 1.5418 Å), from a DFT-relaxed cell (PBE, Alexandria).
No peak broadening, texture or thermal motion is included.

Cell: 12.7392 12.7392 6.7703 Å, 90.00 90.00 90.00°
Atoms (fractional coordinates):
Rb  0.1297  0.2500  0.1250
Rb  0.2500  0.6297  0.3750
Rb  0.2500  0.8703  0.8750
Rb  0.3703  0.2500  0.6250
Rb  0.6297  0.7500  0.6250
Rb  0.7500  0.1297  0.8750
Rb  0.7500  0.3703  0.3750
Rb  0.8703  0.7500  0.1250
Ba  0.0000  0.0000  0.5000
Ba  0.0000  0.5000  0.7500
Ba  0.5000  0.0000  0.2500
Ba  0.5000  0.5000  0.0000
Te  0.0000  0.0000  0.0000
Te  0.0000  0.5000  0.2500
Te  0.5000  0.0000  0.7500
Te  0.5000  0.5000  0.5000

The 10 most intense peaks (10° ≤ 2θ ≤ 80°), in order of rising 2θ:
2θ/deg	I_rel
13.90	834
19.71	995
20.37	613
28.02	390
28.16	954
31.40	1000
34.61	887
45.07	613
49.67	389
57.97	498

---

Entry 5:
Calculated PXRD pattern of Rb2BaTl4 for Cu Kα (λ = 1.5418 Å), from a DFT-relaxed cell (PBE, Alexandria).
No peak broadening, texture or thermal motion is included.

Cell: 12.0888 12.0888 7.0583 Å, 96.95 96.95 34.07°
Atoms (fractional coordinates):
Rb  0.1105  0.2815  0.1713
Rb  0.2815  0.1105  0.6713
Rb  0.7185  0.8895  0.3287
Rb  0.8895  0.7185  0.8287
Ba  0.2410  0.7590  0.7500
Ba  0.7590  0.2410  0.2500
Tl  0.1799  0.6832  0.2045
Tl  0.2813  0.4218  0.4765
Tl  0.3168  0.8201  0.2955
Tl  0.4218  0.2813  0.9765
Tl  0.5782  0.7187  0.0235
Tl  0.6832  0.1799  0.7045
Tl  0.7187  0.5782  0.5235
Tl  0.8201  0.3168  0.7955

The 10 most intense peaks (10° ≤ 2θ ≤ 80°), in order of rising 2θ:
2θ/deg	I_rel
26.34	574
27.60	1000
28.13	612
28.87	325
30.06	297
32.04	297
36.08	398
36.23	313
38.20	378
50.29	311

---

Entry 6:
Calculated PXRD pattern of RbBaTl3 for Cu Kα (λ = 1.5418 Å), from a DFT-relaxed cell (PBE, Alexandria).
No peak broadening, texture or thermal motion is included.

Cell: 6.5875 6.5875 6.5875 Å, 90.00 90.00 90.00°
Atoms (fractional coordinates):
Rb  0.0000  0.0000  0.0000
Ba  0.5000  0.5000  0.5000
Tl  0.0000  0.5000  0.5000
Tl  0.5000  0.0000  0.5000
Tl  0.5000  0.5000  0.0000

The 10 most intense peaks (10° ≤ 2θ ≤ 80°), in order of rising 2θ:
2θ/deg	I_rel
13.44	450
23.39	871
27.07	1000
30.34	267
38.66	784
45.68	454
47.83	286
61.34	191
63.12	378
69.96	279

---

Entry 7:
Calculated PXRD pattern of Ba4Re for Cu Kα (λ = 1.5418 Å), from a DFT-relaxed cell (PBE, Alexandria).
No peak broadening, texture or thermal motion is included.

Cell: 10.8954 10.8954 3.9401 Å, 90.00 90.00 90.00°
Atoms (fractional coordinates):
Ba  0.0519  0.2362  0.0000
Ba  0.2362  0.9481  0.0000
Ba  0.2638  0.5519  0.5000
Ba  0.4481  0.2638  0.5000
Ba  0.5519  0.7362  0.5000
Ba  0.7362  0.4481  0.5000
Ba  0.7638  0.0519  0.0000
Ba  0.9481  0.7638  0.0000
Re  0.0000  0.0000  0.5000
Re  0.5000  0.5000  0.0000

The 10 most intense peaks (10° ≤ 2θ ≤ 80°), in order of rising 2θ:
2θ/deg	I_rel
11.49	580
25.86	382
29.15	1000
32.88	240
36.89	150
37.51	491
41.13	170
48.73	168
56.43	170
64.34	136

---

Entry 8:
Calculated PXRD pattern of BaRe3 for Cu Kα (λ = 1.5418 Å), from a DFT-relaxed cell (PBE, Alexandria).
No peak broadening, texture or thermal motion is included.

Cell: 4.5136 6.5324 6.8684 Å, 90.00 90.00 90.00°
Atoms (fractional coordinates):
Ba  0.2500  0.2500  0.1062
Ba  0.7500  0.7500  0.8938
Re  0.2500  0.0568  0.5857
Re  0.2500  0.4432  0.5857
Re  0.2500  0.7500  0.3483
Re  0.7500  0.2500  0.6517
Re  0.7500  0.5568  0.4143
Re  0.7500  0.9432  0.4143

The 10 most intense peaks (10° ≤ 2θ ≤ 80°), in order of rising 2θ:
2θ/deg	I_rel
12.89	1000
18.75	154
29.38	505
32.77	171
36.39	467
39.95	301
43.16	178
48.26	373
50.36	228
52.88	232